Record 1
Pm2Al2Os2C: theoretical powder X-ray diffraction pattern (Cu Kα X-rays), based on a PBE-relaxed structure.
Intensities are scaled so that the largest is 100.

Top 12 peaks for 2θ from 15° to 90°, in order of rising 2θ:
2θ/deg  I/Imax
15.9  33.6
24.3  21.4
31.8  100.0
33.3  31.7
34.1  86.2
37.5  34.0
38.3  26.7
42.7  27.7
55.2  15.5
58.7  15.7
60.8  14.9
61.5  14.7

Structure:
```
Pm2Al2Os2C
1.0
5.6547 -2.1176 0.0000
5.6547 2.1176 0.0000
-4.6412 0.0000 5.6246
Pm Al Os C
2 2 2 1
direct
0.0602 0.0602 0.3303
0.9398 0.9398 0.6697
0.3418 0.3418 0.8946
0.6582 0.6582 0.1054
0.3024 0.3024 0.1981
0.6976 0.6976 0.8019
0.5000 0.5000 0.5000
```



Record 2
Ce2InAs3Ir4: theoretical powder X-ray diffraction pattern (Cu Kα X-rays), based on a PBE-relaxed structure.
Intensities are scaled so that the largest is 100.

Top 12 peaks for 2θ from 15° to 90°, in order of rising 2θ:
2θ/deg  I/Imax
23.8  9.2
26.8  9.7
32.3  21.6
34.7  100.0
38.8  8.9
44.0  48.3
44.8  24.1
46.0  24.6
55.6  9.2
63.9  15.9
65.5  17.1
74.8  21.6

Structure:
```
Ce2InAs3Ir4
1.0
4.1180 0.0000 0.0000
0.0000 4.1180 0.0000
0.0000 0.0000 11.2316
Ce In As Ir
2 1 3 4
direct
0.0000 0.5000 0.2394
0.5000 0.0000 0.7606
0.0000 0.0000 0.5000
0.0000 0.5000 0.8718
0.5000 0.0000 0.1282
0.5000 0.5000 0.5000
0.0000 0.0000 0.0000
0.0000 0.5000 0.6596
0.5000 0.0000 0.3404
0.5000 0.5000 0.0000
```



Record 3
Nd2Ga2Au: theoretical powder X-ray diffraction pattern (Cu Kα X-rays), based on a PBE-relaxed structure.
Intensities are scaled so that the largest is 100.

Top 12 peaks for 2θ from 15° to 90°, in order of rising 2θ:
2θ/deg  I/Imax
25.4  27.0
31.3  94.4
31.5  50.8
31.9  76.2
32.8  31.7
34.7  48.5
37.0  29.0
38.1  21.3
39.0  100.0
39.6  83.5
63.1  21.3
66.3  24.7

Structure:
```
Nd2Ga2Au
1.0
5.4625 -2.2737 0.0000
5.4625 2.2737 0.0000
-5.2697 0.0000 9.7065
Nd Ga Au
4 4 2
direct
0.0173 0.0173 0.3288
0.1894 0.1894 0.1124
0.8106 0.8106 0.8876
0.9827 0.9827 0.6712
0.3646 0.3646 0.4435
0.4745 0.4745 0.1061
0.5255 0.5255 0.8939
0.6354 0.6354 0.5565
0.2714 0.2714 0.6588
0.7286 0.7286 0.3412
```



Record 4
LaNd3Cu2: theoretical powder X-ray diffraction pattern (Cu Kα X-rays), based on a PBE-relaxed structure.
Intensities are scaled so that the largest is 100.

Top 12 peaks for 2θ from 15° to 90°, in order of rising 2θ:
2θ/deg  I/Imax
29.2  100.0
30.5  31.3
31.8  14.4
32.1  82.6
34.6  43.8
35.5  49.4
38.9  30.0
43.0  15.4
53.7  29.7
59.0  17.7
59.9  13.8
61.6  17.2

Structure:
```
LaNd3Cu2
1.0
5.0587 0.0000 0.0000
0.0000 9.0629 0.0000
0.0000 0.0000 7.1847
La Nd Cu
2 6 4
direct
0.0000 0.0790 0.0000
0.0000 0.9210 0.5000
0.0000 0.3413 0.6344
0.0000 0.6587 0.1344
0.5000 0.1611 0.3521
0.5000 0.4250 0.9833
0.5000 0.5750 0.4833
0.5000 0.8389 0.8521
0.0000 0.3474 0.2350
0.0000 0.6526 0.7350
0.5000 0.1564 0.7506
0.5000 0.8436 0.2506
```



Record 5
Pr3ErO6: theoretical powder X-ray diffraction pattern (Cu Kα X-rays), based on a PBE-relaxed structure.
Intensities are scaled so that the largest is 100.

Top 12 peaks for 2θ from 15° to 90°, in order of rising 2θ:
2θ/deg  I/Imax
22.8  36.9
25.5  47.6
28.2  100.0
29.0  45.0
30.8  24.4
31.2  94.1
32.3  20.3
40.4  23.2
41.3  38.6
47.9  42.4
48.9  21.4
50.1  27.0

Structure:
```
Pr3ErO6
1.0
5.0295 2.9038 3.9025
-5.0295 2.9038 3.9025
0.0000 -5.8075 3.9025
Pr Er O
6 2 12
direct
0.0573 0.7523 0.5640
0.2477 0.4360 0.9427
0.4360 0.9427 0.2477
0.5640 0.0573 0.7523
0.7523 0.5640 0.0573
0.9427 0.2477 0.4360
0.0000 0.0000 0.0000
0.5000 0.5000 0.5000
0.0343 0.6931 0.9048
0.0952 0.9657 0.3069
0.1935 0.4342 0.5884
0.3069 0.0952 0.9657
0.4116 0.8065 0.5658
0.4342 0.5884 0.1935
0.5658 0.4116 0.8065
0.5884 0.1935 0.4342
0.6931 0.9048 0.0343
0.8065 0.5658 0.4116
0.9048 0.0343 0.6931
0.9657 0.3069 0.0952
```



Record 6
PrEuErCd: theoretical powder X-ray diffraction pattern (Cu Kα X-rays), based on a PBE-relaxed structure.
Intensities are scaled so that the largest is 100.

Top 9 peaks for 2θ from 15° to 90°, in order of rising 2θ:
2θ/deg  I/Imax
19.5  1.2
22.5  0.6
32.1  100.0
37.8  0.8
46.0  18.3
57.2  38.1
67.1  11.7
76.4  16.3
85.2  4.2

Structure:
```
PrEuErCd
1.0
0.0000 3.9437 3.9437
3.9437 0.0000 3.9437
3.9437 3.9437 0.0000
Pr Eu Er Cd
1 1 1 1
direct
0.0000 0.0000 0.0000
0.7500 0.7500 0.7500
0.5000 0.5000 0.5000
0.2500 0.2500 0.2500
```



Record 7
PaInF: theoretical powder X-ray diffraction pattern (Cu Kα X-rays), based on a PBE-relaxed structure.
Intensities are scaled so that the largest is 100.

Top 12 peaks for 2θ from 15° to 90°, in order of rising 2θ:
2θ/deg  I/Imax
15.3  65.0
27.3  50.3
27.5  87.0
27.9  49.3
29.6  46.7
30.8  55.4
31.9  56.0
34.1  100.0
34.8  78.5
35.3  64.0
36.9  55.9
38.3  52.1

Structure:
```
PaInF
1.0
3.6062 0.0000 0.0000
1.1314 5.8821 0.0000
1.1009 1.0601 6.4019
Pa In F
2 2 2
direct
0.2139 0.3276 0.4283
0.7861 0.6724 0.5717
0.4201 0.2773 0.9088
0.5799 0.7227 0.0912
0.2308 0.9246 0.6300
0.7692 0.0754 0.3700
```